Diffraction record for SrCuTe2O7. The powder XRD pattern is calculated, not measured: it uses a DFT-relaxed cell (GGA-PBE, Alexandria) and Cu Kα (weighted mean of Kα1 and Kα2).
Intensities are scaled so that the largest is 100.

Structure:
a = 7.234 Å, b = 15.509 Å, c = 5.506 Å
α = 90.00°, β = 90.00°, γ = 90.00°
Space group Pbcm (No. 57)
Unique sites:
1 Sr 0.225 0.041 0.250 [4 per cell]
2 Cu 0.266 0.611 0.250 [4 per cell]
3 Te 0.012 0.671 0.750 [4 per cell]
4 Te 0.483 0.174 0.750 [4 per cell]
5 O 0.080 0.589 0.000 [8 per cell]
6 O 0.101 0.250 0.000 [4 per cell]
7 O 0.228 0.111 0.750 [4 per cell]
8 O 0.248 0.729 0.750 [4 per cell]
9 O 0.465 0.598 0.010 [8 per cell]

Largest 10 diffraction maxima, sorted by position, 10° ≤ 2θ ≤ 90°:
| 2θ/deg | I_rel | h k l |
| --- | --- | --- |
| 19.78 | 26 | 0 2 1 |
| 26.67 | 20 | 1 3 1 |
| 27.21 | 34 | 2 2 0 |
| 28.15 | 93 | 0 4 1 |
| 31.77 | 100 | 2 2 1 |
| 32.53 | 36 | 0 0 2 |
| 42.90 | 26 | 2 2 2 |
| 54.94 | 27 | 2 6 2 |
| 57.54 | 22 | 2 2 3 |
| 58.78 | 19 | 4 4 1 |

---

Diffraction record for Sr3TiCu2O6. The powder XRD pattern is calculated, not measured: it uses a DFT-relaxed cell (GGA-PBE, Alexandria) and Cu Kα (weighted mean of Kα1 and Kα2).
Intensities are scaled so that the largest is 100.

Structure:
a = 5.7374 Å, b = 5.7374 Å, c = 6.3374 Å
α = 90.00°, β = 90.00°, γ = 120.00°
Space group P-3m1 (No. 164)
Unique sites:
1 Sr 0.0000 0.0000 0.0000 [1 per cell]
2 Sr 0.3333 0.6667 0.6342 [2 per cell]
3 Ti 0.0000 0.0000 0.5000 [1 per cell]
4 Cu 0.3333 0.6667 0.1699 [2 per cell]
5 O 0.1599 0.3199 0.3143 [6 per cell]

Largest 10 diffraction maxima, sorted by position, 10° ≤ 2θ ≤ 90°:
| 2θ/deg | I_rel | h k l |
| --- | --- | --- |
| 31.18 | 100 | 1 1 0 |
| 33.54 | 78 | 0 1 2 |
| 46.45 | 52 | 2 0 2 |
| 55.48 | 19 | 3 0 0 |
| 57.00 | 34 | 1 2 2 |
| 61.42 | 12 | 1 0 4 |
| 65.02 | 18 | 2 2 0 |
| 70.49 | 11 | 0 2 4 |
| 75.18 | 15 | 3 1 2 |
| 79.08 | 11 | 2 1 4 |